The following is a computed PXRD pattern of ZrPd3. It was derived from a crystal structure in the Materials Project, relaxed with GGA-PBE, using Cu Kα X-rays.

Main lines, by intensity (2θ from 10° to 90°):
two_theta, I (rel.), h k l
38.6, 100, 1 1 1
44.9, 49, 2 0 0
78.5, 36, 3 1 1
65.3, 31, 2 2 0
82.8, 11, 2 2 2

Crystal structure
Lattice parameters (Å, degrees): 4.040 4.040 4.040 90.00 90.00 90.00
Space group Pm-3m (No. 221)
Symmetry-distinct sites (fractional):
Zr1 0.000 0.000 0.000 [1 per cell]
Pd1 0.000 0.500 0.500 [3 per cell]


The following is a computed PXRD pattern of ZrPd2. It was derived from a crystal structure in the Materials Project, relaxed with GGA-PBE, using Cu Kα X-rays.

Main lines, by intensity (2θ from 10° to 90°):
two_theta, I (rel.), h k l
40.4, 100, 1 0 3
36.5, 67, 1 1 0
68.4, 41, 2 1 3
52.6, 23, 2 0 0
75.9, 15, 1 1 6
87.3, 10, 2 0 6
89.0, 10, 3 1 0
77.7, 7, 2 2 0
63.9, 6, 0 0 6
27.6, 1, 1 0 1

Crystal structure
Lattice parameters (Å, degrees): 3.477 3.477 8.742 90.00 90.00 90.00
Space group I4/mmm (No. 139)
Symmetry-distinct sites (fractional):
Zr1 0.000 0.000 0.000 [2 per cell]
Pd1 0.000 0.000 0.337 [4 per cell]


The following is a computed PXRD pattern of Pm. It was derived from a crystal structure in the Materials Project, relaxed with GGA-PBE, using Cu Kα X-rays.

Main lines, by intensity (2θ from 10° to 90°):
two_theta, I (rel.), h k l
31.1, 100, 1 0 4
32.7, 85, 0 1 5
29.9, 51, 0 0 9
59.1, 45, 1 1 9
49.7, 38, 1 1 0
28.3, 35, 1 0 1
52.9, 23, 1 0 13
56.0, 18, 0 1 14
83.5, 17, 1 1 18
39.0, 16, 0 1 8

Crystal structure
Lattice parameters (Å, degrees): 3.6686 3.6686 26.8605 90.00 90.00 120.00
Space group R-3m (No. 166, hexagonal axes)
Symmetry-distinct sites (fractional):
Pm1 0.0000 0.0000 0.0000 [3 per cell]
Pm2 0.0000 0.0000 0.2228 [6 per cell]


The following is a computed PXRD pattern of Pm. It was derived from a crystal structure in the Materials Project, relaxed with GGA-PBE, using Cu Kα X-rays.

Main lines, by intensity (2θ from 10° to 90°):
two_theta, I (rel.), h k l
29.9, 100, 1 1 1
34.7, 51, 2 0 0
59.3, 43, 3 1 1
49.9, 36, 2 2 0
81.1, 18, 3 3 1
83.7, 16, 4 2 0
62.2, 12, 2 2 2
73.3, 6, 4 0 0

Crystal structure
Lattice parameters (Å, degrees): 5.168 5.168 5.168 90.00 90.00 90.00
Space group Fm-3m (No. 225)
Symmetry-distinct sites (fractional):
Pm1 0.000 0.000 0.000 [4 per cell]


The following is a computed PXRD pattern of Pm. It was derived from a crystal structure in the Materials Project, relaxed with GGA-PBE, using Cu Kα X-rays.

Main lines, by intensity (2θ from 10° to 90°):
two_theta, I (rel.), h k l
31.9, 100, 1 0 2
29.1, 43, 1 0 1
30.2, 34, 0 0 4
59.2, 31, 1 1 4
49.6, 26, 1 1 0
36.3, 24, 1 0 3
54.8, 22, 1 0 6
60.2, 16, 2 0 2
81.7, 14, 2 1 2
84.0, 11, 1 1 8

Crystal structure
Lattice parameters (Å, degrees): 3.6752 3.6752 11.8257 90.00 90.00 120.00
Space group P6_3/mmc (No. 194)
Symmetry-distinct sites (fractional):
Pm1 0.0000 0.0000 0.0000 [2 per cell]
Pm2 0.3333 0.6667 0.2500 [2 per cell]


The following is a computed PXRD pattern of Pm3Pr. It was derived from a crystal structure in the Materials Project, relaxed with GGA-PBE, using Cu Kα X-rays.

Main lines, by intensity (2θ from 10° to 90°):
two_theta, I (rel.), h k l
29.8, 100, 1 1 2
34.6, 34, 2 0 0
59.0, 29, 3 1 2
49.5, 24, 2 0 4
34.3, 17, 0 0 4
58.6, 15, 1 1 6
61.8, 13, 2 2 4
49.7, 12, 2 2 0
80.4, 12, 3 1 6
80.8, 6, 3 3 2

Crystal structure
Lattice parameters (Å, degrees): 5.185 5.185 10.467 90.00 90.00 90.00
Space group I4/mmm (No. 139)
Symmetry-distinct sites (fractional):
Pm1 0.000 0.000 0.000 [2 per cell]
Pm2 0.000 0.500 0.250 [4 per cell]
Pr1 0.000 0.000 0.500 [2 per cell]